For Pu3Zr, a DFT-relaxed cell (PBE, the Materials Project) gives the simulated X-ray diffraction stick pattern in this record (Cu Kα (weighted mean of Kα1 and Kα2)).
No peak broadening, texture or thermal motion is included.

Structural model:
```
data_Pu3Zr
_space_group_name_H-M_alt 'I 4/m m m'
_space_group_IT_number 139
_space_group_name_Hall '-I 4 2'
_cell_length_a 4.596
_cell_length_b 4.596
_cell_length_c 8.996
_cell_angle_alpha 90.00
_cell_angle_beta 90.00
_cell_angle_gamma 90.00
loop_
_atom_site_label
_atom_site_fract_x
_atom_site_fract_y
_atom_site_fract_z
Pu1 0.000 0.000 0.000
Pu2 0.000 0.500 0.250
Zr1 0.000 0.000 0.500
```

Most intense lines, 2θ = 5–70°, by angle:
34.0 deg, rel. 100, hkl 1 1 2
39.2 deg, rel. 34, hkl 2 0 0
40.1 deg, rel. 16, hkl 0 0 4
57.3 deg, rel. 23, hkl 2 0 4
67.8 deg, rel. 28, hkl 3 1 2
69.0 deg, rel. 13, hkl 1 1 6